Starting from the GGA-PBE geometry in Alexandria, the powder diffractogram of NpTl2Ag2Se4 was simulated for CuKα.

Crystal structure
a = 15.378 Å, b = 4.244 Å, c = 7.996 Å
α = 90.00°, β = 110.87°, γ = 90.00°
Space group C2/m (No. 12)
One atom of each set of equivalent atoms:
1 Np 0.000 0.000 0.000 (multiplicity 2)
2 Tl 0.137 0.000 0.577 (multiplicity 4)
3 Ag 0.180 0.500 0.981 (multiplicity 4)
4 Se 0.005 0.500 0.762 (multiplicity 4)
5 Se 0.195 0.000 0.202 (multiplicity 4)

Principal peaks in the range 2θ = 15–90°, low angle first:
two_theta	Rel. int.	hkl
21.84	31	1 1 0
23.34	33	4 0 -1
27.80	58	3 1 -1
30.81	99	1 1 -2
31.24	31	4 0 1
32.40	59	3 1 -2
33.15	100	3 1 1
37.56	33	6 0 0
42.61	46	0 2 0
47.39	30	7 1 -2

***

Starting from the GGA-PBE geometry in Alexandria, the powder diffractogram of Tm3NpAg3Se8 was simulated for CuKα.

Crystal structure
a = 13.758 Å, b = 8.251 Å, c = 8.049 Å
α = 90.00°, β = 123.47°, γ = 90.00°
Space group C2/m (No. 12)
One atom of each set of equivalent atoms:
1 Tm 0.000 0.000 0.000 (multiplicity 2)
2 Tm 0.250 0.250 0.500 (multiplicity 4)
3 Np 0.000 0.500 0.000 (multiplicity 2)
4 Ag 0.000 0.500 0.500 (multiplicity 2)
5 Ag 0.250 0.250 0.000 (multiplicity 4)
6 Se 0.003 0.249 0.247 (multiplicity 8)
7 Se 0.248 0.000 0.253 (multiplicity 4)
8 Se 0.248 0.500 0.256 (multiplicity 4)

Principal peaks in the range 2θ = 15–90°, low angle first:
two_theta	Rel. int.	hkl
25.35	12	2 0 1
26.59	14	0 0 2
31.06	100	2 2 -2
31.17	50	4 0 0
43.90	58	2 2 2
45.09	18	4 0 -4
45.25	35	6 2 -2
54.81	20	4 4 0
64.75	12	4 4 -4
72.64	17	0 4 4

***

Starting from the GGA-PBE geometry in Alexandria, the powder diffractogram of NpAg3Te4 was simulated for CuKα.

Crystal structure
a = 6.018 Å, b = 9.989 Å, c = 8.652 Å
α = 90.00°, β = 90.00°, γ = 90.00°
Space group Pmmn (No. 59, origin choice 2)
One atom of each set of equivalent atoms:
1 Np 0.250 0.250 0.166 (multiplicity 2)
2 Ag 0.250 0.507 0.670 (multiplicity 4)
3 Ag 0.250 0.750 0.159 (multiplicity 2)
4 Te 0.250 0.250 0.817 (multiplicity 2)
5 Te 0.250 0.512 0.340 (multiplicity 4)
6 Te 0.250 0.750 0.835 (multiplicity 2)

Principal peaks in the range 2θ = 15–90°, low angle first:
two_theta	Rel. int.	hkl
20.53	100	0 0 2
29.69	54	2 0 0
35.96	95	0 4 0
36.37	47	2 0 2
41.77	17	0 4 2
47.30	86	2 4 0
52.08	16	2 4 2
64.64	16	0 0 6
72.73	23	2 0 6
73.49	23	4 4 0

***

Starting from the GGA-PBE geometry in Alexandria, the powder diffractogram of NpTl2Ag2Te4 was simulated for CuKα.

Crystal structure
a = 16.003 Å, b = 4.462 Å, c = 8.485 Å
α = 90.00°, β = 110.44°, γ = 90.00°
Space group C2/m (No. 12)
One atom of each set of equivalent atoms:
1 Np 0.000 0.000 0.000 (multiplicity 2)
2 Tl 0.133 0.000 0.581 (multiplicity 4)
3 Ag 0.183 0.500 0.989 (multiplicity 4)
4 Te 0.008 0.500 0.755 (multiplicity 4)
5 Te 0.200 0.000 0.211 (multiplicity 4)

Principal peaks in the range 2θ = 15–90°, low angle first:
two_theta	Rel. int.	hkl
26.52	35	3 1 -1
29.11	100	1 1 -2
29.68	42	4 0 1
30.76	81	3 1 -2
31.46	91	3 1 1
34.50	21	5 1 -1
35.93	29	6 0 0
40.43	52	0 2 0
45.29	29	7 1 -2
48.63	24	3 1 3